The following is a calculated powder XRD pattern of Ca3P2Rh2. It was derived from a cell relaxed with PBE, using Cu Ka.
Intensities are scaled so that the largest is 100.

Structure:
a b c (Å): 5.5732 7.8039 12.9649
angles (deg): 90.00 90.00 90.00
Space group Pbcm (No. 57)
One atom of each set of equivalent atoms:
Ca1 0.1282 0.1193 0.1065 (multiplicity 8)
Ca2 0.3658 0.7394 0.7500 (multiplicity 4)
P1 0.1546 0.0908 0.7500 (multiplicity 4)
P2 0.4186 0.7500 0.0000 (multiplicity 4)
Rh1 0.3656 0.0192 0.5866 (multiplicity 8)

Largest 10 diffraction maxima, in order of falling intensity, 15° ≤ 2θ ≤ 90°:
40.2 deg, I = 100
15.9 deg, I = 45
34.9 deg, I = 43
20.7 deg, I = 37
22.8 deg, I = 30
43.7 deg, I = 30
28.5 deg, I = 28
41.8 deg, I = 27
36.0 deg, I = 27
39.6 deg, I = 23

=====

The following is a calculated powder XRD pattern of CsPdF5. It was derived from a cell relaxed with PBE, using Cu Ka.
Intensities are scaled so that the largest is 100.

Structure:
a b c (Å): 11.5652 8.4410 7.8040
angles (deg): 90.00 132.33 90.00
Space group C2/c (No. 15)
One atom of each set of equivalent atoms:
Cs1 0.0000 0.0268 0.2500 (multiplicity 4)
Pd1 0.0000 0.5000 0.0000 (multiplicity 4)
F1 0.0000 0.4334 0.2500 (multiplicity 4)
F2 0.0028 0.2745 0.9566 (multiplicity 8)
F3 0.2269 0.4972 0.7274 (multiplicity 8)

Largest 10 diffraction maxima, in order of falling intensity, 15° ≤ 2θ ≤ 90°:
27.3 deg, I = 100
20.8 deg, I = 64
21.0 deg, I = 55
40.6 deg, I = 28
40.9 deg, I = 27
29.7 deg, I = 21
42.3 deg, I = 15
60.1 deg, I = 14
47.7 deg, I = 12
51.3 deg, I = 11

=====

The following is a calculated powder XRD pattern of KTl3Sb2. It was derived from a cell relaxed with PBE, using Cu Ka.
Intensities are scaled so that the largest is 100.

Structure:
a b c (Å): 19.0986 5.2655 9.5840
angles (deg): 90.00 120.00 90.00
Space group C2/m (No. 12)
One atom of each set of equivalent atoms:
K1 0.1344 0.0000 0.1347 (multiplicity 4)
Tl1 0.0006 0.0000 0.6636 (multiplicity 4)
Tl2 0.1771 0.5000 0.4709 (multiplicity 4)
Tl3 0.1774 0.5000 0.8840 (multiplicity 4)
Sb1 0.0000 0.5000 0.1505 (multiplicity 4)
Sb2 0.2014 0.0000 0.7015 (multiplicity 4)

Largest 10 diffraction maxima, in order of falling intensity, 15° ≤ 2θ ≤ 90°:
30.0 deg, I = 100
34.6 deg, I = 89
34.1 deg, I = 52
32.5 deg, I = 41
23.4 deg, I = 39
18.5 deg, I = 39
47.8 deg, I = 34
29.0 deg, I = 33
52.8 deg, I = 24
39.1 deg, I = 21

=====

The following is a calculated powder XRD pattern of Tl15BiTe4. It was derived from a cell relaxed with PBE, using Cu Ka.
Intensities are scaled so that the largest is 100.

Structure:
a b c (Å): 5.0407 5.0407 25.5711
angles (deg): 90.00 90.00 90.00
Space group P4/mmm (No. 123)
One atom of each set of equivalent atoms:
Tl1 0.0000 0.0000 0.0000 (multiplicity 1)
Tl2 0.0000 0.0000 0.1959 (multiplicity 2)
Tl3 0.0000 0.0000 0.3991 (multiplicity 2)
Tl4 0.0000 0.5000 0.0968 (multiplicity 4)
Tl5 0.0000 0.5000 0.2979 (multiplicity 4)
Tl6 0.0000 0.5000 0.5000 (multiplicity 2)
Bi1 0.5000 0.5000 0.0000 (multiplicity 1)
Te1 0.5000 0.5000 0.2018 (multiplicity 2)
Te2 0.5000 0.5000 0.4009 (multiplicity 2)

Largest 10 diffraction maxima, in order of falling intensity, 15° ≤ 2θ ≤ 90°:
30.6 deg, I = 100
35.6 deg, I = 34
60.9 deg, I = 29
50.9 deg, I = 24
35.1 deg, I = 17
60.2 deg, I = 14
63.6 deg, I = 13
51.3 deg, I = 12
82.9 deg, I = 12
83.5 deg, I = 6

=====

The following is a calculated powder XRD pattern of KZrNb2O8. It was derived from a cell relaxed with PBE, using Cu Ka.
Intensities are scaled so that the largest is 100.

Structure:
a b c (Å): 7.5219 7.5219 6.5125
angles (deg): 90.00 90.00 90.00
Space group I-4m2 (No. 119)
One atom of each set of equivalent atoms:
K1 0.0000 0.0000 0.0000 (multiplicity 2)
Zr1 0.0000 0.5000 0.2500 (multiplicity 2)
Nb1 0.0000 0.0000 0.5000 (multiplicity 2)
Nb2 0.0000 0.5000 0.7500 (multiplicity 2)
O1 0.0000 0.2134 0.3477 (multiplicity 8)
O2 0.0000 0.3270 0.9569 (multiplicity 8)

Largest 10 diffraction maxima, in order of falling intensity, 15° ≤ 2θ ≤ 90°:
23.7 deg, I = 100
32.2 deg, I = 64
47.3 deg, I = 58
59.4 deg, I = 19
48.4 deg, I = 18
33.7 deg, I = 17
54.6 deg, I = 13
62.1 deg, I = 13
70.0 deg, I = 13
29.9 deg, I = 12

=====

The following is a calculated powder XRD pattern of Bi4Pb3. It was derived from a cell relaxed with PBE, using Cu Ka.
Intensities are scaled so that the largest is 100.

Structure:
a b c (Å): 3.5357 12.6599 12.6604
angles (deg): 119.99 90.02 90.06
Space group P-1 (No. 2)
One atom of each set of equivalent atoms:
Bi1 0.2484 0.1856 0.4325 (multiplicity 2)
Bi2 0.2495 0.7473 0.3149 (multiplicity 2)
Bi3 0.2500 0.6668 0.8336 (multiplicity 2)
Bi4 0.2521 0.0672 0.7526 (multiplicity 2)
Pb1 0.2497 0.0911 0.1333 (multiplicity 2)
Pb2 0.2497 0.3665 0.9574 (multiplicity 2)
Pb3 0.2507 0.5419 0.4086 (multiplicity 2)

Largest 10 diffraction maxima, in order of falling intensity, 15° ≤ 2θ ≤ 90°:
33.3 deg, I = 100
30.1 deg, I = 56
21.4 deg, I = 55
37.6 deg, I = 43
29.4 deg, I = 42
35.7 deg, I = 39
35.3 deg, I = 29
65.1 deg, I = 19
51.1 deg, I = 17
65.7 deg, I = 17